(1)
Structure and computed PXRD pattern of CeTl2Br4 (a DFT-relaxed cell (GGA-PBE, Alexandria); λ = 1.5418 Å (Cu Kα)).
Lines closer than 0.1° are merged.

a = 16.104 Å, b = 4.569 Å, c = 7.331 Å
α = 90.00°, β = 90.94°, γ = 90.00°
Space group C2/m (No. 12)
One atom of each set of equivalent atoms:
Ce 0.000 0.000 0.000 x2
Tl 0.201 0.000 0.689 x4
Br 0.041 0.500 0.750 x4
Br 0.169 0.000 0.163 x4

Most intense lines, 10° ≤ 2θ ≤ 80°, in order of rising 2θ:
2theta	d_spacing	intensity	(hkl)
16.5	5.376	648	2 0 1
23.6	3.762	393	1 1 1
25.6	3.479	657	3 1 0
26.6	3.356	429	2 0 -2
28.3	3.156	604	3 1 -1
31.7	2.821	570	1 1 -2
34.1	2.632	501	5 1 0
35.4	2.536	268	3 1 -2
35.8	2.509	1000	3 1 2
39.4	2.284	369	0 2 0

***

(2)
Structure and computed PXRD pattern of Ce4TlBr12 (a DFT-relaxed cell (GGA-PBE, Alexandria); λ = 1.5418 Å (Cu Kα)).
Lines closer than 0.1° are merged.

a = 11.094 Å, b = 11.455 Å, c = 11.458 Å
α = 90.00°, β = 90.00°, γ = 90.00°
Space group Immm (No. 71)
One atom of each set of equivalent atoms:
Ce 0.250 0.250 0.250 x8
Tl 0.000 0.000 0.000 x2
Br 0.000 0.313 0.312 x8
Br 0.178 0.000 0.252 x8
Br 0.179 0.254 0.000 x8

Most intense lines, 10° ≤ 2θ ≤ 80°, in order of rising 2θ:
2theta	d_spacing	intensity	(hkl)
11.1	7.970	499	1 0 1
15.5	5.728	978	0 0 2
22.3	3.985	630	2 2 0
24.7	3.611	806	1 3 0
29.8	2.999	859	3 1 2
31.2	2.864	1000	0 0 4
35.3	2.545	422	2 4 0
38.7	2.326	641	2 4 2
39.4	2.288	611	4 2 2
44.7	2.025	366	0 4 4

***

(3)
Structure and computed PXRD pattern of CeTl3Br7 (a DFT-relaxed cell (GGA-PBE, Alexandria); λ = 1.5418 Å (Cu Kα)).
Lines closer than 0.1° are merged.

a = 11.523 Å, b = 10.163 Å, c = 8.876 Å
α = 90.00°, β = 126.00°, γ = 90.00°
Space group Cm (No. 8)
One atom of each set of equivalent atoms:
Ce 0.000 0.000 0.000 x2
Tl 0.440 0.000 0.868 x2
Tl 0.441 0.283 0.444 x4
Br 0.062 0.260 0.175 x4
Br 0.145 0.000 0.829 x2
Br 0.301 0.500 0.092 x2
Br 0.306 0.000 0.346 x2
Br 0.312 0.321 0.699 x4

Most intense lines, 10° ≤ 2θ ≤ 80°, in order of rising 2θ:
2theta	d_spacing	intensity	(hkl)
19.0	4.661	486	2 0 0
20.5	4.329	488	2 0 -2
21.4	4.148	1000	0 2 1
28.0	3.184	218	1 3 0
31.1	2.872	454	4 0 -2
33.4	2.680	618	2 2 1
35.2	2.549	296	2 2 -3
35.3	2.541	276	0 4 0
37.3	2.411	305	4 2 -1
38.9	2.315	248	4 2 -3